Entry 1:
This entry pairs a crystal structure of Pm2ZnCd5 with its computed XRD peak list. Radiation: a wavelength of 1.5418 Å. Structure: a GGA-PBE-relaxed structure.
Lines closer than 0.1° are merged.

Top 8 peaks for 2θ = 15–90°, by angle:
hkl 1 0 7, 2θ = 28.8°, d 3.097, I 98.1; hkl 1 0 10, 2θ = 34.7°, d 2.588, I 30.5; hkl 0 1 11, 2θ = 36.8°, d 2.441, I 48.4; hkl 1 1 0, 2θ = 38.5°, d 2.336, I 100.0; hkl 0 2 7, 2θ = 48.8°, d 1.865, I 22.8; hkl 2 0 11, 2θ = 54.4°, d 1.688, I 15.4; hkl 2 1 7, 2θ = 63.9°, d 1.457, I 19.5; hkl 3 0 0, 2θ = 69.7°, d 1.349, I 16.6

Atomic structure:
```
data_Pm2ZnCd5
_chemical_formula_sum 'Pm6 Zn3 Cd15'
_space_group_name_H-M_alt 'R -3 m'
_space_group_IT_number 166
_space_group_name_Hall '-R 3 2"'
_cell_length_a 4.6720
_cell_length_b 4.6720
_cell_length_c 33.6775
_cell_angle_alpha 90.00
_cell_angle_beta 90.00
_cell_angle_gamma 120.00
loop_
_atom_site_label
_atom_site_fract_x
_atom_site_fract_y
_atom_site_fract_z
Pm1 0.0000 0.0000 0.0894
Zn1 0.0000 0.0000 0.0000
Cd1 0.0000 0.0000 0.1949
Cd2 0.0000 0.0000 0.3598
Cd3 0.0000 0.0000 0.5000
```


Entry 2:
This entry pairs a crystal structure of PmZn4Cd8 with its computed XRD peak list. Radiation: a wavelength of 1.5418 Å. Structure: a GGA-PBE-relaxed structure.
Lines closer than 0.1° are merged.

Top 8 peaks for 2θ = 15–90°, by angle:
hkl 0 0 2, 2θ = 31.4°, d 2.850, I 30.1; hkl 3 0 1, 2θ = 32.0°, d 2.798, I 47.9; hkl 2 0 2, 2θ = 36.6°, d 2.453, I 47.0; hkl 3 2 1, 2θ = 37.2°, d 2.419, I 100.0; hkl 4 0 0, 2θ = 37.3°, d 2.409, I 47.6; hkl 2 2 2, 2θ = 41.3°, d 2.186, I 48.5; hkl 3 2 3, 2θ = 59.7°, d 1.549, I 24.0; hkl 6 3 1, 2θ = 67.2°, d 1.393, I 25.4

Atomic structure:
```
data_PmZn4Cd8
_chemical_formula_sum 'Pm2 Zn8 Cd16'
_space_group_name_H-M_alt 'I 4/m m m'
_space_group_IT_number 139
_space_group_name_Hall '-I 4 2'
_cell_length_a 9.6341
_cell_length_b 9.6341
_cell_length_c 5.7006
_cell_angle_alpha 90.00
_cell_angle_beta 90.00
_cell_angle_gamma 90.00
loop_
_atom_site_label
_atom_site_fract_x
_atom_site_fract_y
_atom_site_fract_z
Pm1 0.0000 0.0000 0.0000
Zn1 0.2500 0.2500 0.2500
Cd1 0.0000 0.2171 0.5000
Cd2 0.0000 0.3458 0.0000
```


Entry 3:
This entry pairs a crystal structure of Pm3Zn8Cd3 with its computed XRD peak list. Radiation: a wavelength of 1.5418 Å. Structure: a GGA-PBE-relaxed structure.
Lines closer than 0.1° are merged.

Top 8 peaks for 2θ = 15–90°, by angle:
hkl 1 2 3, 2θ = 34.1°, d 2.630, I 100.0; hkl 1 1 4, 2θ = 34.3°, d 2.617, I 17.1; hkl 0 3 3, 2θ = 35.5°, d 2.532, I 31.1; hkl 1 3 2, 2θ = 37.9°, d 2.372, I 25.5; hkl 0 0 6, 2θ = 39.5°, d 2.279, I 22.3; hkl 2 0 0, 2θ = 39.7°, d 2.268, I 36.6; hkl 2 0 6, 2θ = 57.3°, d 1.608, I 19.8; hkl 3 2 3, 2θ = 68.5°, d 1.369, I 14.0

Atomic structure:
```
data_Pm3Zn8Cd3
_chemical_formula_sum 'Pm6 Zn16 Cd6'
_space_group_name_H-M_alt 'I m m m'
_space_group_IT_number 71
_space_group_name_Hall '-I 2 2'
_cell_length_a 4.5353
_cell_length_b 9.1419
_cell_length_c 13.6758
_cell_angle_alpha 90.00
_cell_angle_beta 90.00
_cell_angle_gamma 90.00
loop_
_atom_site_label
_atom_site_fract_x
_atom_site_fract_y
_atom_site_fract_z
Pm1 0.0000 0.0000 0.0000
Pm2 0.0000 0.0000 0.2965
Zn1 0.0000 0.2708 0.1482
Zn2 0.0000 0.3649 0.3345
Cd1 0.0000 0.2056 0.5000
Cd2 0.0000 0.5000 0.0000
```


Entry 4:
This entry pairs a crystal structure of Pm5Zn4Cd with its computed XRD peak list. Radiation: a wavelength of 1.5418 Å. Structure: a GGA-PBE-relaxed structure.
Lines closer than 0.1° are merged.

Top 8 peaks for 2θ = 15–90°, by angle:
hkl 1 0 0, 2θ = 24.2°, d 3.674, I 10.9; hkl 1 0 5, 2θ = 34.2°, d 2.618, I 100.0; hkl 1 1 0, 2θ = 34.5°, d 2.598, I 51.5; hkl 2 0 0, 2θ = 49.6°, d 1.837, I 18.3; hkl 1 1 10, 2θ = 61.1°, d 1.516, I 15.6; hkl 2 1 5, 2θ = 61.7°, d 1.504, I 35.6; hkl 2 0 10, 2θ = 72.2°, d 1.309, I 9.4; hkl 3 1 0, 2θ = 83.1°, d 1.162, I 8.0

Atomic structure:
```
data_Pm5Zn4Cd
_chemical_formula_sum 'Pm5 Zn4 Cd1'
_space_group_name_H-M_alt 'P 4/m m m'
_space_group_IT_number 123
_space_group_name_Hall '-P 4 2'
_cell_length_a 3.6740
_cell_length_b 3.6740
_cell_length_c 18.6609
_cell_angle_alpha 90.00
_cell_angle_beta 90.00
_cell_angle_gamma 90.00
loop_
_atom_site_label
_atom_site_fract_x
_atom_site_fract_y
_atom_site_fract_z
Pm1 0.0000 0.0000 0.0000
Pm2 0.0000 0.0000 0.1953
Pm3 0.0000 0.0000 0.3877
Zn1 0.5000 0.5000 0.0978
Zn2 0.5000 0.5000 0.2926
Cd1 0.5000 0.5000 0.5000
```


Entry 5:
This entry pairs a crystal structure of PrCd11 with its computed XRD peak list. Radiation: a wavelength of 1.5418 Å. Structure: a GGA-PBE-relaxed structure.
Lines closer than 0.1° are merged.

Top 8 peaks for 2θ = 15–90°, by angle:
hkl 3 1 0, 2θ = 30.0°, d 2.982, I 37.2; hkl 3 1 1, 2θ = 31.5°, d 2.844, I 90.8; hkl 2 2 2, 2θ = 32.9°, d 2.723, I 80.6; hkl 3 2 0, 2θ = 34.3°, d 2.616, I 47.4; hkl 4 1 0, 2θ = 39.4°, d 2.287, I 100.0; hkl 3 3 0, 2θ = 40.6°, d 2.223, I 69.3; hkl 4 2 1, 2θ = 44.0°, d 2.058, I 51.9; hkl 5 4 0, 2θ = 63.1°, d 1.473, I 31.6

Atomic structure:
```
data_PrCd11
_chemical_formula_sum 'Pr3 Cd33'
_space_group_name_H-M_alt 'P m -3 m'
_space_group_IT_number 221
_space_group_name_Hall '-P 4 2 3'
_cell_length_a 9.4311
_cell_length_b 9.4311
_cell_length_c 9.4311
_cell_angle_alpha 90.00
_cell_angle_beta 90.00
_cell_angle_gamma 90.00
loop_
_atom_site_label
_atom_site_fract_x
_atom_site_fract_y
_atom_site_fract_z
Pr1 0.0000 0.0000 0.5000
Cd1 0.0000 0.3450 0.3450
Cd2 0.1561 0.1561 0.1561
Cd3 0.2659 0.2659 0.5000
Cd4 0.5000 0.5000 0.5000
```


Entry 6:
This entry pairs a crystal structure of PrCd6 with its computed XRD peak list. Radiation: a wavelength of 1.5418 Å. Structure: a GGA-PBE-relaxed structure.
Lines closer than 0.1° are merged.

Top 8 peaks for 2θ = 15–90°, by angle:
hkl 0 2 0, 2θ = 29.4°, d 3.038, I 17.4; hkl 1 0 4, 2θ = 31.7°, d 2.819, I 32.7; hkl 3 1 1, 2θ = 33.2°, d 2.697, I 100.0; hkl 2 2 1, 2θ = 36.1°, d 2.489, I 25.6; hkl 1 2 3, 2θ = 38.6°, d 2.330, I 28.9; hkl 2 1 4, 2θ = 39.0°, d 2.310, I 20.9; hkl 4 0 1, 2θ = 39.3°, d 2.291, I 29.2; hkl 3 3 1, 2θ = 54.6°, d 1.680, I 16.9

Atomic structure:
```
data_PrCd6
_chemical_formula_sum 'Pr4 Cd24'
_space_group_name_H-M_alt 'P n m a'
_space_group_IT_number 62
_cell_length_a 9.3302
_cell_length_b 6.0759
_cell_length_c 11.8287
_cell_angle_alpha 90.00
_cell_angle_beta 90.00
_cell_angle_gamma 90.00
loop_
_space_group_symop_operation_xyz
'x,y,z'
'-x,-y,-z'
'-x+1/2,-y,z+1/2'
'x+1/2,y,-z+1/2'
'x+1/2,-y+1/2,-z+1/2'
'-x+1/2,y+1/2,z+1/2'
'-x,y+1/2,-z'
'x,-y+1/2,z'
loop_
_atom_site_label
_atom_site_fract_x
_atom_site_fract_y
_atom_site_fract_z
Pr1 0.2409 0.2500 0.0576
Cd1 0.0655 0.7500 0.0847
Cd2 0.0679 0.0156 0.3096
Cd3 0.1010 0.2500 0.5247
Cd4 0.1341 0.7500 0.8480
Cd5 0.1878 0.2500 0.7635
```


Entry 7:
This entry pairs a crystal structure of PrCd5Pt2 with its computed XRD peak list. Radiation: a wavelength of 1.5418 Å. Structure: a GGA-PBE-relaxed structure.
Lines closer than 0.1° are merged.

Top 8 peaks for 2θ = 15–90°, by angle:
hkl 1 1 2, 2θ = 29.7°, d 3.004, I 36.2; hkl 1 2 1, 2θ = 31.3°, d 2.855, I 42.5; hkl 1 0 3, 2θ = 34.2°, d 2.621, I 100.0; hkl 1 3 0, 2θ = 38.3°, d 2.349, I 54.9; hkl 0 2 4, 2θ = 41.3°, d 2.185, I 69.4; hkl 1 3 2, 2θ = 42.4°, d 2.133, I 38.1; hkl 2 0 0, 2θ = 43.8°, d 2.068, I 37.0; hkl 2 2 4, 2θ = 61.8°, d 1.502, I 41.2

Atomic structure:
```
data_PrCd5Pt2
_chemical_formula_sum 'Pr2 Cd10 Pt4'
_space_group_name_H-M_alt 'I m m m'
_space_group_IT_number 71
_space_group_name_Hall '-I 2 2'
_cell_length_a 4.1355
_cell_length_b 8.5640
_cell_length_c 10.1678
_cell_angle_alpha 90.00
_cell_angle_beta 90.00
_cell_angle_gamma 90.00
loop_
_atom_site_label
_atom_site_fract_x
_atom_site_fract_y
_atom_site_fract_z
Pr1 0.0000 0.0000 0.0000
Cd1 0.0000 0.1867 0.3470
Cd2 0.0000 0.5000 0.0000
Pt1 0.0000 0.5000 0.2797
```


Entry 8:
This entry pairs a crystal structure of Pr3Cd2Pt4 with its computed XRD peak list. Radiation: a wavelength of 1.5418 Å. Structure: a GGA-PBE-relaxed structure.
Lines closer than 0.1° are merged.

Top 8 peaks for 2θ = 15–90°, by angle:
hkl 2 0 -1, 2θ = 19.3°, d 4.599, I 27.8; hkl 0 0 3, 2θ = 28.8°, d 3.100, I 25.3; hkl 3 1 0, 2θ = 33.0°, d 2.713, I 84.7; hkl 3 1 1, 2θ = 34.8°, d 2.575, I 24.3; hkl 1 1 3, 2θ = 36.8°, d 2.445, I 100.0; hkl 3 1 -2, 2θ = 37.7°, d 2.386, I 44.6; hkl 3 1 2, 2θ = 39.1°, d 2.302, I 29.5; hkl 0 2 0, 2θ = 40.6°, d 2.220, I 47.7

Atomic structure:
```
data_Pr3Cd2Pt4
_chemical_formula_sum 'Pr6 Cd4 Pt8'
_space_group_name_H-M_alt 'C 1 2/m 1'
_space_group_IT_number 12
_cell_length_a 10.2871
_cell_length_b 4.4393
_cell_length_c 9.3207
_cell_angle_alpha 90.00
_cell_angle_beta 92.95
_cell_angle_gamma 90.00
loop_
_space_group_symop_operation_xyz
'x,y,z'
'-x,-y,-z'
'-x,y,-z'
'x,-y,z'
'x+1/2,y+1/2,z'
'-x+1/2,-y+1/2,-z'
'-x+1/2,y+1/2,-z'
'x+1/2,-y+1/2,z'
loop_
_atom_site_label
_atom_site_fract_x
_atom_site_fract_y
_atom_site_fract_z
Pr1 0.0000 0.0000 0.0000
Pr2 0.1267 0.5000 0.3810
Cd1 0.1759 0.5000 0.7792
Pt1 0.0794 0.0000 0.6218
Pt2 0.2060 0.5000 0.0823
```


Entry 9:
This entry pairs a crystal structure of PrCd9Pt2 with its computed XRD peak list. Radiation: a wavelength of 1.5418 Å. Structure: a GGA-PBE-relaxed structure.
Lines closer than 0.1° are merged.

Top 8 peaks for 2θ = 15–90°, by angle:
hkl 3 2 1, 2θ = 29.9°, d 2.990, I 42.9; hkl 3 1 2, 2θ = 33.8°, d 2.649, I 82.9; hkl 4 2 0, 2θ = 34.2°, d 2.625, I 54.5; hkl 1 0 3, 2θ = 36.5°, d 2.464, I 36.9; hkl 2 1 3, 2θ = 39.7°, d 2.272, I 33.7; hkl 5 0 1, 2θ = 40.2°, d 2.242, I 100.0; hkl 4 2 2, 2θ = 41.9°, d 2.156, I 57.2; hkl 5 5 2, 2θ = 60.9°, d 1.520, I 24.6

Atomic structure:
```
data_PrCd9Pt2
_chemical_formula_sum 'Pr4 Cd36 Pt8'
_space_group_name_H-M_alt 'I 41/a m d'
_space_group_IT_number 141
_cell_length_a 11.7397
_cell_length_b 11.7397
_cell_length_c 7.5600
_cell_angle_alpha 90.00
_cell_angle_beta 90.00
_cell_angle_gamma 90.00
loop_
_space_group_symop_operation_xyz
'x,y,z'
'-x,-y,-z'
'-y+1/4,x+3/4,z+1/4'
'y+1/4,-x+3/4,-z+1/4'
'-x+1/2,-y,z+1/2'
'x+1/2,y,-z+1/2'
'y+1/4,-x+1/4,z+3/4'
'-y+1/4,x+1/4,-z+3/4'
'x,-y,-z'
'-x,y,z'
'-y+1/4,-x+1/4,-z+3/4'
'y+1/4,x+1/4,z+3/4'
'-x+1/2,y,-z+1/2'
'x+1/2,-y,z+1/2'
'y+1/4,x+3/4,-z+1/4'
'-y+1/4,-x+3/4,z+1/4'
'x+1/2,y+1/2,z+1/2'
'-x+1/2,-y+1/2,-z+1/2'
'-y+3/4,x+1/4,z+3/4'
'y+3/4,-x+1/4,-z+3/4'
'-x,-y+1/2,z'
'x,y+1/2,-z'
'y+3/4,-x+3/4,z+1/4'
'-y+3/4,x+3/4,-z+1/4'
'x+1/2,-y+1/2,-z+1/2'
'-x+1/2,y+1/2,z+1/2'
'-y+3/4,-x+3/4,-z+1/4'
'y+3/4,x+3/4,z+1/4'
'-x,y+1/2,-z'
'x,-y+1/2,z'
'y+3/4,x+1/4,-z+3/4'
'-y+3/4,-x+1/4,z+3/4'
loop_
_atom_site_label
_atom_site_fract_x
_atom_site_fract_y
_atom_site_fract_z
Pr1 0.0000 0.2500 0.3750
Cd1 0.0000 0.2500 0.8750
Cd2 0.1206 0.0508 0.6785
Pt1 0.0000 0.0000 0.0000
```


Entry 10:
This entry pairs a crystal structure of PrCdPt6 with its computed XRD peak list. Radiation: a wavelength of 1.5418 Å. Structure: a GGA-PBE-relaxed structure.
Lines closer than 0.1° are merged.

Top 8 peaks for 2θ = 15–90°, by angle:
hkl 2 0 0, 2θ = 33.9°, d 2.647, I 23.8; hkl 2 1 0, 2θ = 38.0°, d 2.367, I 100.0; hkl 2 1 1, 2θ = 41.8°, d 2.161, I 53.4; hkl 2 2 2, 2θ = 60.6°, d 1.528, I 12.0; hkl 3 0 2, 2θ = 63.4°, d 1.468, I 23.0; hkl 3 2 1, 2θ = 66.0°, d 1.415, I 27.6; hkl 4 0 0, 2θ = 71.3°, d 1.323, I 13.5; hkl 4 2 1, 2θ = 83.7°, d 1.155, I 21.5

Atomic structure:
```
data_PrCdPt6
_chemical_formula_sum 'Pr1 Cd1 Pt6'
_space_group_name_H-M_alt 'P m -3'
_space_group_IT_number 200
_space_group_name_Hall '-P 2 2 3'
_cell_length_a 5.2933
_cell_length_b 5.2933
_cell_length_c 5.2933
_cell_angle_alpha 90.00
_cell_angle_beta 90.00
_cell_angle_gamma 90.00
loop_
_atom_site_label
_atom_site_fract_x
_atom_site_fract_y
_atom_site_fract_z
Pr1 0.0000 0.0000 0.0000
Cd1 0.5000 0.5000 0.5000
Pt1 0.0000 0.2535 0.5000
```


Entry 11:
This entry pairs a crystal structure of Pr3Cd7Pt4 with its computed XRD peak list. Radiation: a wavelength of 1.5418 Å. Structure: a GGA-PBE-relaxed structure.
Lines closer than 0.1° are merged.

Top 8 peaks for 2θ = 15–90°, by angle:
hkl 1 1 2, 2θ = 31.9°, d 2.806, I 60.6; hkl 3 1 -3, 2θ = 32.5°, d 2.751, I 40.7; hkl 3 1 1, 2θ = 33.6°, d 2.667, I 59.2; hkl 5 1 -2, 2θ = 34.0°, d 2.633, I 100.0; hkl 6 0 0, 2θ = 39.7°, d 2.272, I 26.9; hkl 3 1 -4, 2θ = 39.8°, d 2.267, I 53.3; hkl 1 1 3, 2θ = 40.4°, d 2.231, I 36.3; hkl 0 2 0, 2θ = 40.9°, d 2.207, I 70.5

Atomic structure:
```
data_Pr3Cd7Pt4
_chemical_formula_sum 'Pr6 Cd14 Pt8'
_space_group_name_H-M_alt 'C 1 2/m 1'
_space_group_IT_number 12
_cell_length_a 16.4439
_cell_length_b 4.4145
_cell_length_c 10.6094
_cell_angle_alpha 90.00
_cell_angle_beta 123.99
_cell_angle_gamma 90.00
loop_
_space_group_symop_operation_xyz
'x,y,z'
'-x,-y,-z'
'-x,y,-z'
'x,-y,z'
'x+1/2,y+1/2,z'
'-x+1/2,-y+1/2,-z'
'-x+1/2,y+1/2,-z'
'x+1/2,-y+1/2,z'
loop_
_atom_site_label
_atom_site_fract_x
_atom_site_fract_y
_atom_site_fract_z
Pr1 0.0000 0.0000 0.0000
Pr2 0.1998 0.5000 0.7159
Cd1 0.0000 0.0000 0.5000
Cd2 0.0155 0.5000 0.3134
Cd3 0.1658 0.0000 0.4351
Cd4 0.1749 0.5000 0.0091
Pt1 0.1128 0.0000 0.8178
Pt2 0.1580 0.5000 0.2515
```


Entry 12:
This entry pairs a crystal structure of PrCdPt with its computed XRD peak list. Radiation: a wavelength of 1.5418 Å. Structure: a GGA-PBE-relaxed structure.
Lines closer than 0.1° are merged.

Top 8 peaks for 2θ = 15–90°, by angle:
hkl 3 1 1, 2θ = 31.7°, d 2.821, I 100.0; hkl 4 1 0, 2θ = 34.4°, d 2.604, I 99.9; hkl 3 1 2, 2θ = 37.6°, d 2.392, I 35.7; hkl 6 0 0, 2θ = 40.0°, d 2.255, I 59.7; hkl 1 1 3, 2θ = 41.7°, d 2.167, I 41.2; hkl 0 2 0, 2θ = 44.4°, d 2.040, I 35.4; hkl 6 2 0, 2θ = 61.3°, d 1.513, I 34.1; hkl 7 1 3, 2θ = 64.2°, d 1.451, I 42.4

Atomic structure:
```
data_PrCdPt
_chemical_formula_sum 'Pr6 Cd6 Pt6'
_space_group_name_H-M_alt 'P m m a'
_space_group_IT_number 51
_cell_length_a 13.5176
_cell_length_b 4.0805
_cell_length_c 7.8183
_cell_angle_alpha 90.00
_cell_angle_beta 90.00
_cell_angle_gamma 90.00
loop_
_space_group_symop_operation_xyz
'x,y,z'
'-x,-y,-z'
'-x+1/2,-y,z'
'x+1/2,y,-z'
'x+1/2,-y,-z'
'-x+1/2,y,z'
'-x,y,-z'
'x,-y,z'
loop_
_atom_site_label
_atom_site_fract_x
_atom_site_fract_y
_atom_site_fract_z
Pr1 0.0480 0.0000 0.2298
Pr2 0.2500 0.0000 0.8363
Cd1 0.1174 0.5000 0.5623
Cd2 0.2500 0.5000 0.1921
Pt1 0.0963 0.5000 0.9332
Pt2 0.2500 0.0000 0.4407
```